For LiVP2O7, the GGA+U geometry in the Materials Project gives the theoretical powder XRD pattern in this record (a wavelength of 1.5418 Å).
Intensities are scaled so that the largest is 100.

Largest 8 diffraction maxima, most intense first, 10 to 90 degrees two-theta:
29.29 deg, d = 3.049 Å, I 100.0, hkl 0 2 2
29.66 deg, d = 3.012 Å, I 76.1, hkl 2 0 -2
28.75 deg, d = 3.105 Å, I 71.0, hkl 1 1 2
14.70 deg, d = 6.025 Å, I 63.8, hkl 1 0 -1
18.60 deg, d = 4.771 Å, I 44.1, hkl 1 0 1
14.52 deg, d = 6.098 Å, I 37.7, hkl 0 1 1
21.44 deg, d = 4.145 Å, I 29.4, hkl 0 2 0
57.12 deg, d = 1.613 Å, I 28.0, hkl 1 3 4

Crystal structure
Cell lengths 6.735, 8.290, 9.277 Å; angles 90.00, 103.95, 90.00 degrees
Fractional coordinates of all 44 atoms:
Li  0.234  0.078  0.253
Li  0.234  0.422  0.253
Li  0.766  0.578  0.747
Li  0.766  0.922  0.747
V  0.251  0.070  0.750
V  0.251  0.430  0.750
V  0.749  0.570  0.250
V  0.749  0.930  0.250
P  0.002  0.750  0.053
P  0.079  0.750  0.534
P  0.419  0.750  0.968
P  0.499  0.250  0.550
P  0.501  0.750  0.450
P  0.581  0.250  0.032
P  0.921  0.250  0.466
P  0.998  0.250  0.947
O  0.019  0.097  0.855
O  0.019  0.403  0.855
O  0.077  0.598  0.625
O  0.077  0.902  0.625
O  0.111  0.250  0.601
O  0.123  0.250  0.105
O  0.242  0.750  0.055
O  0.261  0.750  0.454
O  0.370  0.250  0.392
O  0.388  0.250  0.899
O  0.415  0.598  0.877
O  0.415  0.902  0.877
O  0.481  0.097  0.642
O  0.481  0.403  0.642
O  0.519  0.597  0.358
O  0.519  0.903  0.358
O  0.585  0.098  0.123
O  0.585  0.402  0.123
O  0.612  0.750  0.101
O  0.630  0.750  0.608
O  0.739  0.250  0.546
O  0.758  0.250  0.945
O  0.877  0.750  0.895
O  0.889  0.750  0.399
O  0.923  0.098  0.375
O  0.923  0.402  0.375
O  0.981  0.597  0.145
O  0.981  0.903  0.145